# Cs2MgScCl6
Calculated X-ray powder pattern, a wavelength of 1.5418 Å. Input: the PBE geometry in Alexandria.
Kinematic intensities with the Lorentz-polarization factor, no thermal factor.

Most intense lines, 2θ = 10–90°, in order of rising 2θ:
- 17.07°, d 5.194, intensity 20.0, hkl 0 1 2
- 24.23°, d 3.673, intensity 100.0, hkl 1 1 0
- 29.69°, d 3.009, intensity 25.1, hkl 0 0 6
- 29.83°, d 2.996, intensity 74.4, hkl 2 0 2
- 34.54°, d 2.597, intensity 89.2, hkl 0 2 4
- 42.68°, d 2.119, intensity 33.5, hkl 3 0 0
- 49.55°, d 1.839, intensity 29.6, hkl 2 0 8
- 49.73°, d 1.833, intensity 29.3, hkl 2 2 0
- 59.02°, d 1.565, intensity 28.1, hkl 2 2 6
- 61.95°, d 1.498, intensity 14.6, hkl 4 0 4

Structural model:
abc: 7.3337 7.3337 18.0533
angles: 90.00 90.00 120.00
Space group R-3m (No. 166, hexagonal axes)
Inequivalent atoms, fractional coordinates:
Cs: 0.0000 0.0000 0.2492 (multiplicity 6)
Mg: 0.0000 0.0000 0.0000 (multiplicity 3)
Sc: 0.0000 0.0000 0.5000 (multiplicity 3)
Cl: 0.0053 0.5026 0.7483 (multiplicity 18)

---

# PrZn7
Calculated X-ray powder pattern, a wavelength of 1.5418 Å. Input: the PBE geometry in Alexandria.
Kinematic intensities with the Lorentz-polarization factor, no thermal factor.

Most intense lines, 2θ = 10–90°, in order of rising 2θ:
- 31.01°, d 2.884, intensity 22.4, hkl 1 1 1
- 31.14°, d 2.872, intensity 28.5, hkl 3 1 -1
- 34.58°, d 2.594, intensity 100.0, hkl 2 2 -1
- 35.07°, d 2.559, intensity 47.8, hkl 2 0 1
- 35.24°, d 2.547, intensity 47.0, hkl 4 0 -1
- 39.15°, d 2.301, intensity 19.7, hkl 1 3 0
- 43.94°, d 2.061, intensity 47.0, hkl 2 0 -2
- 44.10°, d 2.053, intensity 26.6, hkl 1 3 -1
- 45.10°, d 2.010, intensity 67.5, hkl 4 2 0
- 64.94°, d 1.436, intensity 29.5, hkl 6 2 -2

Structural model:
abc: 10.5707 7.1043 4.1215
angles: 90.00 112.67 90.00
Space group C2/m (No. 12)
Inequivalent atoms, fractional coordinates:
Pr: 0.0000 0.0000 0.0000 (multiplicity 2)
Zn: 0.0000 0.5000 0.0000 (multiplicity 2)
Zn: 0.1386 0.3167 0.6391 (multiplicity 8)
Zn: 0.2466 0.0000 0.7466 (multiplicity 4)

---

# CeHo5Er5
Calculated X-ray powder pattern, a wavelength of 1.5418 Å. Input: the PBE geometry in Alexandria.
Kinematic intensities with the Lorentz-polarization factor, no thermal factor.

Most intense lines, 2θ = 10–90°, in order of rising 2θ:
- 28.81°, d 3.099, intensity 21.7, hkl 4 0 1
- 29.98°, d 2.980, intensity 23.4, hkl 5 1 0
- 30.48°, d 2.933, intensity 100.0, hkl 0 2 0
- 31.02°, d 2.883, intensity 50.3, hkl 6 0 0
- 33.88°, d 2.646, intensity 74.6, hkl 1 1 2
- 34.12°, d 2.628, intensity 71.5, hkl 5 1 -2
- 44.04°, d 2.056, intensity 38.6, hkl 6 2 0
- 53.32°, d 1.718, intensity 17.9, hkl 4 0 -4
- 56.36°, d 1.633, intensity 17.5, hkl 1 3 2
- 62.66°, d 1.483, intensity 31.9, hkl 4 2 -4

Structural model:
abc: 18.5517 5.8672 6.8730
angles: 90.00 111.19 90.00
Space group C2/m (No. 12)
Inequivalent atoms, fractional coordinates:
Ce: 0.0000 0.0000 0.0000 (multiplicity 2)
Ho: 0.0000 0.5000 0.0000 (multiplicity 2)
Ho: 0.1763 0.0000 0.9339 (multiplicity 4)
Ho: 0.1765 0.0000 0.4202 (multiplicity 4)
Er: 0.0000 0.0000 0.5000 (multiplicity 2)
Er: 0.1246 0.5000 0.6281 (multiplicity 4)
Er: 0.1726 0.5000 0.1754 (multiplicity 4)